# 1
Li3SbS3: calculated X-ray diffraction stick pattern (Cu Kα, 1.54184 Å), based on the GGA-PBE geometry in the Materials Project.

Most intense lines, 2θ from 15° to 90°, sorted by position:
| d [Å] | intensity |
| --- | --- |
| 5.677 | 47 |
| 5.079 | 37 |
| 4.630 | 100 |
| 4.000 | 34 |
| 3.270 | 62 |
| 3.145 | 27 |
| 2.838 | 60 |
| 2.675 | 56 |
| 2.415 | 25 |
| 1.946 | 23 |

Structural model:
Cell lengths 7.9990, 6.8464, 10.1586 Å; angles 90.00, 90.00, 90.00 degrees
Space group Pna2_1 (No. 33)
One atom of each set of equivalent atoms:
Li1 0.0560 0.0408 0.0000
Li2 0.0887 0.3451 0.4581
Li3 0.2395 0.3743 0.1608
Sb1 0.2346 0.3946 0.7758
S1 0.0350 0.1378 0.2668
S2 0.1622 0.6949 0.4591
S3 0.1789 0.7033 0.0819



# 2
LiSbS: calculated X-ray diffraction stick pattern (Cu Kα, 1.54184 Å), based on the GGA-PBE geometry in the Materials Project.

Most intense lines, 2θ from 15° to 90°, sorted by position:
| d [Å] | intensity |
| --- | --- |
| 3.586 | 84 |
| 3.179 | 99 |
| 3.165 | 100 |
| 2.925 | 38 |
| 2.886 | 80 |
| 2.389 | 66 |
| 2.359 | 45 |
| 2.267 | 39 |
| 2.219 | 42 |
| 1.898 | 38 |

Structural model:
Cell lengths 4.4390, 4.5348, 7.1736 Å; angles 88.84, 89.77, 89.75 degrees
Space group P1 (No. 1)
One atom of each set of equivalent atoms:
Li1 0.0000 0.0000 0.0000
Li2 0.4991 0.4973 0.9932
Sb1 0.4774 0.0053 0.5045
Sb2 0.9719 0.4410 0.4867
S1 0.4984 0.9996 0.8477
S2 0.9965 0.4923 0.1446



# 3
Li3SbS4: calculated X-ray diffraction stick pattern (Cu Kα, 1.54184 Å), based on the GGA-PBE geometry in the Materials Project.

Most intense lines, 2θ from 15° to 90°, sorted by position:
| d [Å] | intensity |
| --- | --- |
| 4.738 | 42 |
| 4.696 | 56 |
| 4.294 | 48 |
| 3.185 | 26 |
| 2.642 | 100 |
| 2.617 | 49 |
| 1.937 | 19 |
| 1.869 | 33 |
| 1.849 | 31 |
| 1.526 | 24 |

Structural model:
Cell lengths 6.4672, 7.5081, 6.3742 Å; angles 90.00, 109.22, 90.00 degrees
Space group P2/c (No. 13)
One atom of each set of equivalent atoms:
Li1 0.0000 0.0986 0.2500
Li2 0.0000 0.3574 0.7500
Li3 0.5000 0.1130 0.7500
Sb1 0.5000 0.3627 0.2500
S1 0.2489 0.1359 0.0217
S2 0.2646 0.3903 0.4999



# 4
Li8SbS6: calculated X-ray diffraction stick pattern (Cu Kα, 1.54184 Å), based on the GGA-PBE geometry in the Materials Project.

Most intense lines, 2θ from 15° to 90°, sorted by position:
| d [Å] | intensity |
| --- | --- |
| 5.675 | 82 |
| 5.038 | 71 |
| 3.706 | 21 |
| 3.197 | 19 |
| 3.017 | 100 |
| 2.325 | 62 |
| 1.983 | 41 |
| 1.795 | 24 |
| 1.657 | 17 |
| 1.509 | 14 |

Structural model:
Cell lengths 6.8686, 6.8686, 18.9545 Å; angles 90.00, 90.00, 120.00 degrees
Space group R-3 (No. 148, hexagonal axes)
One atom of each set of equivalent atoms:
Li1 0.0000 0.0000 0.1557
Li2 0.0062 0.6914 0.7124
Sb1 0.0000 0.0000 0.5000
S1 0.0087 0.6521 0.2474



# 5
LiSbS2: calculated X-ray diffraction stick pattern (Cu Kα, 1.54184 Å), based on the GGA-PBE geometry in the Materials Project.

Most intense lines, 2θ from 15° to 90°, sorted by position:
| d [Å] | intensity |
| --- | --- |
| 4.398 | 49 |
| 4.135 | 22 |
| 4.058 | 17 |
| 3.514 | 14 |
| 3.179 | 22 |
| 2.745 | 100 |
| 2.656 | 13 |
| 1.949 | 33 |
| 1.933 | 31 |
| 1.589 | 20 |

Structural model:
Cell lengths 14.0568, 14.0568, 9.4326 Å; angles 90.00, 90.00, 120.00 degrees
Space group R-3 (No. 148, hexagonal axes)
One atom of each set of equivalent atoms:
Li1 0.0132 0.5900 0.1766
Sb1 0.0526 0.1737 0.8209
S1 0.0043 0.4257 0.3377
S2 0.0486 0.1780 0.3141



# 6
Li9Sb3S: calculated X-ray diffraction stick pattern (Cu Kα, 1.54184 Å), based on the GGA-PBE geometry in the Materials Project.

Most intense lines, 2θ from 15° to 90°, sorted by position:
| d [Å] | intensity |
| --- | --- |
| 3.983 | 61 |
| 3.909 | 36 |
| 3.773 | 69 |
| 3.727 | 100 |
| 3.676 | 63 |
| 3.591 | 57 |
| 3.480 | 34 |
| 3.239 | 50 |
| 2.925 | 41 |
| 2.188 | 35 |

Structural model:
Cell lengths 7.7658, 9.4498, 14.5961 Å; angles 90.00, 107.50, 90.00 degrees
Space group P2_1/c (No. 14)
One atom of each set of equivalent atoms:
Li1 0.0124 0.0526 0.3489
Li2 0.0419 0.6611 0.5012
Li3 0.1447 0.1908 0.8394
Li4 0.1957 0.7111 0.8316
Li5 0.2013 0.0141 0.1855
Li6 0.2287 0.5572 0.0404
Li7 0.3674 0.5589 0.2408
Li8 0.4022 0.2482 0.0485
Li9 0.4556 0.6857 0.6193
Sb1 0.1665 0.1965 0.6544
Sb2 0.3195 0.5403 0.4356
Sb3 0.3897 0.0534 0.3969
S1 0.1733 0.7418 0.6600